# CsErPdF6
Simulated powder diffraction line list, Cu Kα (λ = 1.5418 Å). Input: the PBE geometry in Alexandria.
Neutral-atom scattering factors, no anomalous dispersion.

a b c (Å): 8.042 8.042 8.042
angles (deg): 121.61 118.56 89.87
Positions (direct):
Cs: 0.345 0.095 0.250
Cs: 0.655 0.905 0.750
Er: 0.000 0.500 0.500
Er: 0.500 0.500 0.000
Pd: 0.000 0.000 0.500
Pd: 0.000 0.500 0.000
F: 0.072 0.421 0.248
F: 0.072 0.824 0.651
F: 0.082 0.832 0.250
F: 0.314 0.564 0.750
F: 0.327 0.176 0.748
F: 0.327 0.579 0.151
F: 0.673 0.421 0.849
F: 0.673 0.824 0.252
F: 0.686 0.436 0.250
F: 0.918 0.168 0.750
F: 0.928 0.176 0.349
F: 0.928 0.579 0.752

Largest 10 diffraction maxima, sorted by position, 10° ≤ 2θ ≤ 90°:
2θ (°), d (Å), I/Imax
13.71, 6.461, 197
25.70, 3.467, 1000
25.86, 3.445, 357
26.08, 3.416, 262
26.36, 3.380, 426
26.76, 3.331, 294
27.61, 3.230, 564
41.70, 2.166, 187
45.12, 2.009, 514
52.82, 1.733, 187

---

# CsErSnF6
Simulated powder diffraction line list, Cu Kα (λ = 1.5418 Å). Input: the PBE geometry in Alexandria.
Neutral-atom scattering factors, no anomalous dispersion.

a b c (Å): 5.899 6.309 6.324
angles (deg): 60.09 89.97 89.92
Positions (direct):
Cs: 0.000 0.000 0.000
Er: 0.539 0.667 0.667
Sn: 0.499 0.333 0.333
F: 0.342 0.373 0.939
F: 0.344 0.689 0.372
F: 0.345 0.942 0.688
F: 0.731 0.422 0.573
F: 0.732 0.003 0.423
F: 0.732 0.573 0.003

Largest 10 diffraction maxima, sorted by position, 10° ≤ 2θ ≤ 90°:
2θ (°), d (Å), I/Imax
15.02, 5.899, 205
22.16, 4.012, 1000
28.24, 3.160, 463
30.30, 2.950, 96
32.14, 2.785, 127
36.19, 2.482, 269
41.88, 2.157, 376
46.49, 1.953, 182
49.24, 1.851, 107
50.04, 1.823, 105

---

# Cs2ErGaI6
Simulated powder diffraction line list, Cu Kα (λ = 1.5418 Å). Input: the PBE geometry in Alexandria.
Neutral-atom scattering factors, no anomalous dispersion.

a b c (Å): 8.799 12.452 8.801
angles (deg): 90.00 90.00 90.00
Positions (direct):
Cs: 0.250 0.000 0.249
Cs: 0.250 0.500 0.249
Cs: 0.750 0.000 0.751
Cs: 0.750 0.500 0.751
Er: 0.250 0.250 0.751
Er: 0.750 0.750 0.249
Ga: 0.250 0.750 0.748
Ga: 0.750 0.250 0.252
I: 0.008 0.250 0.510
I: 0.009 0.250 0.994
I: 0.250 0.008 0.751
I: 0.250 0.492 0.751
I: 0.491 0.250 0.994
I: 0.492 0.250 0.510
I: 0.508 0.750 0.490
I: 0.509 0.750 0.006
I: 0.750 0.508 0.249
I: 0.750 0.992 0.249
I: 0.991 0.750 0.006
I: 0.992 0.750 0.490

Largest 10 diffraction maxima, sorted by position, 10° ≤ 2θ ≤ 90°:
2θ (°), d (Å), I/Imax
14.23, 6.223, 182
20.18, 4.401, 190
24.78, 3.593, 744
28.69, 3.112, 1000
41.02, 2.200, 746
48.52, 1.876, 338
50.82, 1.797, 263
65.36, 1.428, 134
67.28, 1.392, 332
74.72, 1.270, 244

---

# CsErGaTe3
Simulated powder diffraction line list, Cu Kα (λ = 1.5418 Å). Input: the PBE geometry in Alexandria.
Neutral-atom scattering factors, no anomalous dispersion.

a b c (Å): 10.198 4.516 11.062
angles (deg): 90.00 108.50 90.00
Positions (direct):
Cs: 0.203 0.250 0.249
Cs: 0.797 0.750 0.751
Er: 0.344 0.750 0.873
Er: 0.656 0.250 0.127
Ga: 0.074 0.250 0.619
Ga: 0.926 0.750 0.381
Te: 0.136 0.250 0.878
Te: 0.212 0.750 0.568
Te: 0.465 0.750 0.160
Te: 0.535 0.250 0.840
Te: 0.788 0.250 0.432
Te: 0.864 0.750 0.122

Largest 10 diffraction maxima, sorted by position, 10° ≤ 2θ ≤ 90°:
2θ (°), d (Å), I/Imax
10.29, 8.599, 788
25.47, 3.497, 189
26.50, 3.364, 1000
27.02, 3.300, 520
29.80, 2.998, 435
38.96, 2.312, 299
39.93, 2.258, 309
42.31, 2.136, 359
48.00, 1.895, 229
50.61, 1.804, 197

---

# Cs3Li2ErI8
Simulated powder diffraction line list, Cu Kα (λ = 1.5418 Å). Input: the PBE geometry in Alexandria.
Neutral-atom scattering factors, no anomalous dispersion.

a b c (Å): 8.488 8.488 10.874
angles (deg): 90.00 90.00 120.00
Positions (direct):
Cs: 0.000 0.000 0.000
Cs: 0.333 0.667 0.635
Cs: 0.667 0.333 0.365
Li: 0.333 0.667 0.208
Li: 0.667 0.333 0.792
Er: 0.000 0.000 0.500
I: 0.164 0.327 0.334
I: 0.164 0.836 0.334
I: 0.327 0.164 0.666
I: 0.333 0.667 0.970
I: 0.667 0.333 0.030
I: 0.673 0.836 0.334
I: 0.836 0.164 0.666
I: 0.836 0.673 0.666

Largest 10 diffraction maxima, sorted by position, 10° ≤ 2θ ≤ 90°:
2θ (°), d (Å), I/Imax
20.93, 4.244, 438
24.56, 3.625, 402
25.58, 3.482, 1000
26.65, 3.346, 561
29.33, 3.045, 778
34.76, 2.581, 340
41.31, 2.186, 398
42.61, 2.122, 517
49.79, 1.831, 340
68.03, 1.378, 284